Computed powder diffraction line list
Compound: TmAg2Hg3
Radiation: CuKα
Structure: a cell relaxed with PBE
Intensities are scaled so that the largest is 100.

Top 8 peaks for 2θ = 10–90°, low angle first:
Position (°2θ)  Rel. int.
29.76  48
32.52  44
33.97  68
36.07  100
37.85  64
38.82  62
50.23  39
64.74  49

Structure:
Cell: 21.266 3.633 7.129 Å, 90.00 97.11 90.00°
Space group C2/m (No. 12)
Symmetry-distinct sites (fractional):
Tm (0.100, 0.000, 0.060) x4
Ag (0.009, 0.500, 0.805) x4
Ag (0.197, 0.000, 0.468) x4
Hg (0.065, 0.000, 0.466) x4
Hg (0.148, 0.500, 0.751) x4
Hg (0.220, 0.500, 0.161) x4